# TaSnI
Theoretical XRD peak list, Cu Kα. Input: a crystal structure in Alexandria, relaxed with GGA-PBE.
Peak positions follow from Bragg's law for the DFT cell and can differ from measured ones.

Cell and atoms:
Cell lengths 7.549, 7.549, 6.724 Å; angles 96.45, 96.45, 44.47 degrees
Atoms (fractional coordinates):
Ta 0.000 0.000 0.000
Ta 0.361 0.876 0.741
Ta 0.876 0.361 0.741
Sn 0.293 0.293 0.637
Sn 0.473 0.473 0.932
Sn 0.798 0.798 0.871
I 0.198 0.198 0.100
I 0.643 0.643 0.391
I 0.978 0.978 0.438

Peak list (10 most intense, 2θ = 15–90°, sorted by position)
Position (°2θ), d/Å, I (rel.)
27.04, 3.297, 50
30.46, 2.935, 36
31.06, 2.879, 100
35.98, 2.496, 73
38.96, 2.312, 35
39.68, 2.271, 41
40.93, 2.205, 49
41.62, 2.170, 47
42.66, 2.119, 35
44.25, 2.047, 39

=====

# Ru5Rh3
Theoretical XRD peak list, Cu Kα. Input: a crystal structure in Alexandria, relaxed with GGA-PBE.
Peak positions follow from Bragg's law for the DFT cell and can differ from measured ones.

Cell and atoms:
Cell lengths 2.736, 4.313, 9.489 Å; angles 90.00, 90.00, 90.00 degrees
Atoms (fractional coordinates):
Ru 0.000 0.000 0.000
Ru 0.000 0.000 0.494
Ru 0.000 0.500 0.328
Ru 0.500 0.000 0.246
Ru 0.500 0.500 0.083
Rh 0.000 0.500 0.833
Rh 0.500 0.000 0.746
Rh 0.500 0.500 0.578

Peak list (9 most intense, 2θ = 15–90°, sorted by position)
Position (°2θ), d/Å, I (rel.)
37.95, 2.371, 25
41.89, 2.157, 25
43.56, 2.078, 100
57.79, 1.595, 14
68.55, 1.369, 17
77.67, 1.229, 18
81.13, 1.185, 3
83.68, 1.156, 19
84.82, 1.143, 14

=====

# Pr6Er4Mg
Theoretical XRD peak list, Cu Kα. Input: a crystal structure in Alexandria, relaxed with GGA-PBE.
Peak positions follow from Bragg's law for the DFT cell and can differ from measured ones.

Cell and atoms:
Cell lengths 8.266, 8.266, 8.266 Å; angles 101.56, 101.56, 126.82 degrees
Atoms (fractional coordinates):
Pr 0.000 0.500 0.500
Pr 0.021 0.021 0.622
Pr 0.400 0.400 0.378
Pr 0.500 0.000 0.500
Pr 0.600 0.979 0.000
Pr 0.979 0.600 0.000
Er 0.236 0.457 0.000
Er 0.457 0.236 0.000
Er 0.543 0.543 0.780
Er 0.764 0.764 0.220
Mg 0.000 0.000 0.000

Peak list (10 most intense, 2θ = 15–90°, sorted by position)
Position (°2θ), d/Å, I (rel.)
24.08, 3.696, 34
26.96, 3.307, 100
29.58, 3.020, 33
33.19, 2.699, 51
34.30, 2.615, 32
37.49, 2.399, 51
44.17, 2.051, 31
50.90, 1.794, 19
57.82, 1.595, 19
66.29, 1.410, 20